This entry pairs a crystal structure of LiGaIr with its theoretical powder X-ray diffraction pattern. Radiation: Cu Kα, 1.54184 Å. Structure: the GGA-PBE geometry in the Materials Project.

The 8 most intense peaks (2θ = 10–90°), in order of rising 2θ:
hkl, d [Å], Position (°2θ), I_rel
1 0 0, 3.530, 25.2, 788
1 0 1, 2.973, 30.1, 162
1 0 2, 2.173, 41.6, 1000
1 1 0, 2.038, 44.4, 567
2 0 0, 1.765, 51.8, 116
2 0 2, 1.487, 62.5, 302
2 1 2, 1.201, 79.9, 301
1 1 4, 1.142, 84.9, 176

Crystal structure
a b c (Å): 4.0764 4.0764 5.5151
angles (deg): 90.00 90.00 120.00
Space group P6_3/mmc (No. 194)
Asymmetric unit:
Li  0.3333  0.6667  0.2500 (multiplicity 2)
Ga  0.3333  0.6667  0.7500 (multiplicity 2)
Ir  0.0000  0.0000  0.0000 (multiplicity 2)